(1)
# Sr2V3HO9
Theoretical XRD peak list, CuKα. Input: the GGA+U geometry in the Materials Project.

Cell and atoms:
```
Sr2V3HO9
1.0
7.718 0.000 0.000
0.000 6.230 0.000
-3.275 0.000 8.265
Sr V H O
4 6 2 18
Cartesian
1.038 1.558 0.754
-0.634 4.673 6.187
5.077 1.558 2.078
3.405 4.673 7.511
-0.610 4.673 2.665
3.042 4.673 1.318
2.222 0.000 4.132
2.222 3.115 4.132
1.401 1.558 6.947
5.053 1.558 5.600
0.157 1.558 3.849
4.286 4.673 4.416
-2.549 0.162 6.622
-2.549 2.954 6.622
-1.406 1.558 4.439
1.639 4.673 0.351
0.920 4.673 3.651
1.090 1.558 3.470
0.071 1.558 8.009
1.380 0.062 5.959
1.380 3.053 5.959
3.063 3.177 2.306
3.063 6.168 2.306
4.373 4.673 0.256
3.353 4.673 4.794
3.523 1.558 4.614
2.804 1.558 7.913
5.849 4.673 3.826
6.992 3.277 1.643
6.992 6.069 1.643
```

Principal peaks in the range 10 to 80 degrees two-theta, most intense first:
h k l, two_theta, Rel. int.
2 1 -1, 27.2, 100.0
1 1 2, 32.1, 66.4
0 2 0, 28.7, 49.9
1 0 -3, 30.2, 44.2
3 2 1, 52.5, 34.5
1 2 -3, 42.1, 29.1
2 2 0, 38.3, 20.8
0 2 1, 30.6, 19.4
3 1 -4, 48.7, 18.3
0 4 0, 59.3, 18.1

=====

(2)
# Sr5V3HO13
Theoretical XRD peak list, CuKα. Input: the GGA+U geometry in the Materials Project.

Cell and atoms:
```
Sr5V3HO13
1.0
10.231 0.000 0.000
-5.115 8.860 0.000
0.000 0.000 7.492
Sr V H O
10 6 2 26
Cartesian
-1.234 2.236 0.000
-2.561 8.811 0.000
1.320 2.187 3.746
0.000 5.907 1.859
0.000 5.907 5.620
5.115 2.953 1.874
5.115 2.953 5.605
3.796 6.673 0.000
7.677 0.049 3.746
6.350 6.624 3.746
-1.724 3.527 3.743
-1.199 8.590 3.743
2.193 3.257 7.489
2.923 5.603 3.743
6.314 0.271 7.489
6.839 5.333 7.489
0.000 0.000 1.322
0.000 0.000 5.068
0.000 0.000 0.342
0.000 0.000 4.088
-0.803 3.010 2.365
-0.807 3.031 5.127
-1.735 5.280 3.738
-1.788 6.032 7.488
-2.107 8.050 2.365
-2.087 8.044 5.127
0.786 4.295 7.488
2.205 2.200 6.111
2.221 2.215 1.381
1.410 4.717 3.738
0.325 7.723 3.738
4.113 1.467 3.742
1.002 7.393 7.488
4.790 1.137 7.483
3.705 4.143 7.483
2.894 6.645 5.127
2.910 6.660 2.365
4.329 4.565 3.742
7.202 0.816 1.381
7.222 0.810 6.111
6.904 2.828 3.742
6.851 3.580 7.483
5.923 5.829 1.381
5.918 5.850 6.111
```

Principal peaks in the range 10 to 80 degrees two-theta, most intense first:
h k l, two_theta, Rel. int.
2 1 1, 29.2, 100.0
1 1 2, 29.6, 69.5
3 0 0, 30.3, 57.1
2 2 2, 42.8, 36.7
2 1 3, 45.3, 35.1
2 1 0, 26.6, 24.2
2 3 1, 46.3, 22.3
4 0 2, 47.7, 21.9
0 0 2, 23.8, 21.8
1 0 2, 25.8, 18.7

=====

(3)
# ThV2H4O9
Theoretical XRD peak list, CuKα. Input: the GGA+U geometry in the Materials Project.

Cell and atoms:
```
ThV2H4O9
1.0
7.126 0.000 0.000
0.646 7.460 0.000
2.082 1.480 7.412
Th V H O
2 4 8 18
Cartesian
2.043 2.522 3.090
7.811 6.418 4.321
2.568 6.220 1.536
4.203 7.351 5.589
5.651 1.589 1.822
7.286 2.721 5.875
0.957 2.450 0.066
3.549 4.735 4.701
4.592 3.618 7.317
4.460 3.389 4.869
5.394 5.552 2.542
5.262 5.322 0.095
6.305 4.206 2.711
8.897 6.491 7.346
1.857 4.952 2.528
2.164 7.615 2.535
2.994 6.206 5.083
3.838 7.750 7.336
1.824 2.533 0.511
3.387 1.249 4.588
3.701 3.801 4.374
4.215 6.024 1.349
4.072 2.250 1.966
5.782 6.691 5.446
5.639 2.917 6.063
6.153 5.140 3.037
6.467 7.692 2.823
8.030 6.408 6.900
6.016 1.191 0.076
6.860 2.734 2.329
7.691 1.326 4.877
7.997 3.989 4.883
```

Principal peaks in the range 10 to 80 degrees two-theta, most intense first:
h k l, two_theta, Rel. int.
0 0 1, 11.9, 100.0
1 0 1, 15.2, 79.5
0 2 0, 24.3, 56.5
1 1 -1, 24.2, 43.5
1 0 0, 12.9, 42.6
1 2 2, 30.6, 37.0
-1 1 1, 22.2, 36.4
1 2 1, 26.3, 33.1
0 1 -2, 29.1, 28.5
-1 1 2, 30.9, 28.3

=====

(4)
# UVH3O7
Theoretical XRD peak list, CuKα. Input: the GGA+U geometry in the Materials Project.

Cell and atoms:
```
UVH3O7
1.0
6.966 0.000 0.000
0.000 8.296 0.000
-3.523 0.000 9.985
U V H O
4 4 12 28
Cartesian
-1.030 0.145 3.231
-2.792 4.003 8.223
6.235 4.293 1.762
4.474 8.152 6.754
-1.066 5.333 5.609
0.695 7.112 0.616
2.748 1.184 9.369
4.509 2.964 4.376
-0.315 6.114 8.138
1.446 6.331 3.145
0.347 1.555 6.888
2.108 2.593 1.895
1.056 1.692 5.433
2.818 2.456 0.441
0.626 5.841 9.544
2.387 6.604 4.552
1.335 5.703 8.090
3.096 6.741 3.097
1.997 1.965 6.840
3.758 2.183 1.847
-0.199 0.461 1.106
-1.960 3.688 6.099
0.383 5.406 0.034
-1.378 7.039 5.027
-1.598 5.913 7.357
0.163 6.531 2.364
-0.918 0.545 7.383
0.843 3.603 2.391
0.520 0.800 3.973
-1.241 3.348 8.966
0.537 5.176 5.700
2.299 7.268 0.707
1.055 2.057 6.368
2.816 2.091 1.375
0.627 6.206 8.610
2.389 6.239 3.617
1.145 1.028 9.278
2.906 3.120 4.285
4.684 4.948 1.019
2.923 7.496 6.012
2.600 4.694 7.594
4.362 7.751 2.602
3.280 1.765 7.621
5.042 2.383 2.628
4.821 1.258 4.958
3.060 2.891 9.951
5.404 4.609 3.886
3.642 7.836 8.879
```

Principal peaks in the range 10 to 80 degrees two-theta, most intense first:
h k l, two_theta, Rel. int.
1 0 0, 13.5, 100.0
1 2 0, 25.4, 39.7
1 1 -3, 27.9, 35.7
0 1 3, 28.9, 23.7
0 2 0, 21.4, 18.4
2 2 0, 34.8, 18.1
2 0 0, 27.1, 17.2
1 2 -2, 28.4, 13.4
2 1 -3, 33.1, 13.2
1 1 1, 21.4, 12.3

=====

(5)
# V3H6O10
Theoretical XRD peak list, CuKα. Input: the GGA+U geometry in the Materials Project.

Cell and atoms:
```
V3H6O10
1.0
5.945 0.000 0.000
0.000 8.958 0.000
-0.266 0.000 9.074
V H O
6 12 20
Cartesian
0.000 0.992 0.000
-0.133 7.965 4.537
-0.010 2.229 3.294
-0.143 6.729 7.831
5.711 3.461 6.599
5.844 5.496 2.062
2.042 3.464 0.038
1.909 5.494 4.575
2.294 0.971 5.601
2.427 7.987 1.064
2.472 0.337 7.004
2.604 8.620 2.468
3.248 4.076 0.820
3.115 4.882 5.357
3.382 2.845 6.844
3.515 6.112 2.308
3.659 1.692 0.365
3.527 7.266 4.902
0.187 2.291 7.886
0.320 6.667 3.349
0.422 3.010 5.080
0.555 5.948 0.543
0.526 3.971 2.500
0.393 4.987 7.037
0.570 1.455 1.532
0.437 7.502 6.069
0.593 0.496 4.084
0.460 8.461 8.621
2.780 1.071 6.440
2.913 7.887 1.903
2.993 3.331 0.235
2.860 5.627 4.772
3.937 3.602 6.513
4.070 5.355 1.976
4.186 0.897 0.035
4.054 8.060 4.572
4.319 2.169 3.238
4.186 6.788 7.775
```

Principal peaks in the range 10 to 80 degrees two-theta, most intense first:
h k l, two_theta, Rel. int.
1 0 0, 14.9, 100.0
1 2 1, 27.0, 40.0
0 1 2, 22.0, 26.5
2 0 0, 30.1, 25.4
1 2 -1, 26.6, 22.5
1 1 -2, 26.3, 21.2
0 2 1, 22.1, 21.1
0 3 1, 31.5, 17.4
0 1 3, 31.2, 17.3
1 3 1, 35.2, 7.8

=====

(6)
# V3H6O10
Theoretical XRD peak list, CuKα. Input: the GGA+U geometry in the Materials Project.

Cell and atoms:
```
V3H6O10
1.0
6.110 0.000 0.000
1.271 8.816 0.000
0.609 0.128 9.051
V H O
6 12 20
Cartesian
0.000 0.000 0.000
0.971 4.494 4.473
1.131 3.390 7.898
1.081 5.637 1.200
6.233 1.258 3.329
7.481 7.688 5.816
2.442 2.769 5.962
3.864 6.549 8.064
3.425 1.000 6.289
3.878 1.737 4.961
4.737 7.603 3.702
3.849 2.067 2.091
3.909 2.971 0.727
4.807 5.340 7.625
4.787 6.546 2.437
5.172 7.107 6.599
3.945 1.198 0.540
4.880 5.892 4.019
0.476 0.707 1.735
1.894 8.798 4.520
0.973 2.722 3.689
1.744 6.083 5.374
2.163 8.132 7.274
1.399 1.742 8.325
1.615 5.162 2.800
1.675 3.521 6.133
2.045 4.470 9.007
1.890 7.095 0.655
3.517 1.884 5.884
4.384 6.182 7.322
3.511 2.173 1.140
4.417 6.734 3.385
4.560 1.488 3.459
5.735 7.809 6.010
4.431 0.242 0.012
5.453 4.893 4.575
5.645 3.785 8.038
5.552 5.926 1.256
```

Principal peaks in the range 10 to 80 degrees two-theta, most intense first:
h k l, two_theta, Rel. int.
1 0 0, 14.7, 100.0
2 0 0, 29.6, 22.9
0 2 -1, 22.6, 16.0
1 1 -2, 26.6, 15.2
1 1 2, 24.9, 14.9
1 2 1, 24.8, 13.4
1 -1 2, 26.8, 12.4
0 2 1, 22.3, 12.1
-1 1 2, 28.0, 10.7
1 2 0, 23.2, 9.9